The following is a theoretical X-ray diffraction stick pattern of Li3H8Pt2. It was derived from DFT lattice parameters and positions (GGA-PBE), using Cu Kα (weighted mean of Kα1 and Kα2).

Main lines, most intense first (5 to 70 degrees two-theta):
- 22.5°, I = 100, hkl 1 0 1
- 38.4°, I = 39, hkl 1 1 0
- 34.2°, I = 38, hkl 0 1 5
- 50.3°, I = 32, hkl 1 1 6
- 24.2°, I = 29, hkl 0 1 2
- 31.3°, I = 20, hkl 0 0 6
- 43.1°, I = 20, hkl 1 0 7
- 44.9°, I = 17, hkl 0 2 1

Crystal structure
a b c (Å): 4.6915 4.6915 17.1654
angles (deg): 90.00 90.00 120.00
Space group R-3m (No. 166, hexagonal axes)
Symmetry-distinct sites (fractional):
Li 0.0000 0.0000 0.0000 x3
Li 0.0000 0.0000 0.2060 x6
H 0.0000 0.0000 0.3226 x6
H 0.0701 0.5350 0.7684 x18
Pt 0.0000 0.0000 0.4174 x6